# 1
Simulated powder X-ray diffraction pattern
Compound: In6Bi2Pb3
Radiation: copper Kα
Structure: a crystal structure in Alexandria, relaxed with PBE
Peak positions follow from Bragg's law for the DFT cell and can differ from measured ones.

Structure:
```
data_In6Bi2Pb3
_chemical_formula_sum 'In6 Bi2 Pb3'
_space_group_name_H-M_alt 'P -1'
_space_group_IT_number 2
_cell_length_a 6.123
_cell_length_b 7.629
_cell_length_c 7.731
_cell_angle_alpha 107.13
_cell_angle_beta 97.02
_cell_angle_gamma 104.50
loop_
_space_group_symop_operation_xyz
'x,y,z'
'-x,-y,-z'
loop_
_atom_site_label
_atom_site_fract_x
_atom_site_fract_y
_atom_site_fract_z
_atom_site_occupancy
In1 0.095 0.364 0.320 1
In2 0.280 0.096 0.961 1
In3 0.365 0.455 0.775 1
Bi1 0.447 0.809 0.586 1
Pb1 0.000 0.000 0.500 1
Pb2 0.180 0.730 0.130 1
```

Main lines, low angle first (2θ from 10° to 80°):
2θ = 31.3°, rel. 52, hkl -2 1 1
2θ = 31.6°, rel. 100, hkl 0 1 2
2θ = 31.7°, rel. 49, hkl 1 -2 2
2θ = 35.8°, rel. 36, hkl 2 0 1
2θ = 36.8°, rel. 34, hkl 1 1 -3
2θ = 37.2°, rel. 32, hkl 1 -3 0
2θ = 61.8°, rel. 14, hkl 3 -2 3
2θ = 63.0°, rel. 14, hkl 2 3 -4

# 2
Simulated powder X-ray diffraction pattern
Compound: In3Bi3Pb
Radiation: copper Kα
Structure: a crystal structure in Alexandria, relaxed with PBE
Peak positions follow from Bragg's law for the DFT cell and can differ from measured ones.

Structure:
```
data_In3Bi3Pb
_chemical_formula_sum 'In18 Bi18 Pb6'
_space_group_name_H-M_alt 'R -3'
_space_group_IT_number 148
_space_group_name_Hall '-R 3'
_cell_length_a 9.4935
_cell_length_b 9.4935
_cell_length_c 18.9863
_cell_angle_alpha 90.00
_cell_angle_beta 90.00
_cell_angle_gamma 120.00
loop_
_atom_site_label
_atom_site_fract_x
_atom_site_fract_y
_atom_site_fract_z
_atom_site_occupancy
In1 0.0010 0.3181 0.0885 1
Bi1 0.0021 0.3463 0.9198 1
Pb1 0.0000 0.0000 0.3323 1
```

Main lines, low angle first (2θ from 10° to 80°):
2θ = 23.4°, rel. 32, hkl 1 1 3
2θ = 32.7°, rel. 100, hkl 3 0 0
2θ = 34.1°, rel. 64, hkl 1 1 6
2θ = 43.7°, rel. 37, hkl 3 0 6
2θ = 47.9°, rel. 24, hkl 4 -2 6
2θ = 58.3°, rel. 24, hkl 0 0 12
2θ = 59.2°, rel. 25, hkl 4 1 6
2θ = 68.5°, rel. 33, hkl 3 0 12

# 3
Simulated powder X-ray diffraction pattern
Compound: In5Bi2Pb4
Radiation: copper Kα
Structure: a crystal structure in Alexandria, relaxed with PBE
Peak positions follow from Bragg's law for the DFT cell and can differ from measured ones.

Structure:
```
data_In5Bi2Pb4
_chemical_formula_sum 'In5 Bi2 Pb4'
_space_group_name_H-M_alt 'P -1'
_space_group_IT_number 2
_cell_length_a 4.791
_cell_length_b 8.242
_cell_length_c 9.110
_cell_angle_alpha 107.13
_cell_angle_beta 104.63
_cell_angle_gamma 90.33
loop_
_space_group_symop_operation_xyz
'x,y,z'
'-x,-y,-z'
loop_
_atom_site_label
_atom_site_fract_x
_atom_site_fract_y
_atom_site_fract_z
_atom_site_occupancy
In1 0.000 0.000 0.000 1
In2 0.273 0.349 0.539 1
In3 0.369 0.837 0.736 1
Bi1 0.099 0.450 0.212 1
Pb1 0.181 0.896 0.363 1
Pb2 0.460 0.285 0.925 1
```

Main lines, low angle first (2θ from 10° to 80°):
2θ = 31.2°, rel. 100, hkl 1 2 0
2θ = 31.5°, rel. 48, hkl 1 -1 2
2θ = 31.8°, rel. 45, hkl 1 1 -3
2θ = 34.4°, rel. 37, hkl 0 3 -2
2θ = 37.3°, rel. 29, hkl 0 1 3
2θ = 37.5°, rel. 31, hkl 2 0 -1
2θ = 63.8°, rel. 20, hkl 3 2 -1
2θ = 65.0°, rel. 14, hkl 2 4 0

# 4
Simulated powder X-ray diffraction pattern
Compound: InBi6Pb8
Radiation: copper Kα
Structure: a crystal structure in Alexandria, relaxed with PBE
Peak positions follow from Bragg's law for the DFT cell and can differ from measured ones.

Structure:
```
data_InBi6Pb8
_chemical_formula_sum 'In1 Bi6 Pb8'
_space_group_name_H-M_alt 'P -1'
_space_group_IT_number 2
_cell_length_a 8.525
_cell_length_b 8.560
_cell_length_c 8.773
_cell_angle_alpha 116.46
_cell_angle_beta 96.34
_cell_angle_gamma 114.00
loop_
_space_group_symop_operation_xyz
'x,y,z'
'-x,-y,-z'
loop_
_atom_site_label
_atom_site_fract_x
_atom_site_fract_y
_atom_site_fract_z
_atom_site_occupancy
In1 0.000 0.000 0.000 1
Bi1 0.008 0.290 0.414 1
Bi2 0.286 0.797 0.969 1
Bi3 0.421 0.490 0.670 1
Pb1 0.108 0.904 0.336 1
Pb2 0.169 0.489 0.127 1
Pb3 0.349 0.222 0.867 1
Pb4 0.444 0.849 0.590 1
```

Main lines, low angle first (2θ from 10° to 80°):
2θ = 29.9°, rel. 61, hkl 1 2 -2
2θ = 30.0°, rel. 44, hkl -1 1 2
2θ = 30.8°, rel. 61, hkl -1 2 1
2θ = 31.1°, rel. 100, hkl 2 0 1
2θ = 31.4°, rel. 41, hkl 1 1 -3
2θ = 32.2°, rel. 49, hkl -3 1 1
2θ = 32.8°, rel. 38, hkl 3 -2 0
2θ = 33.7°, rel. 62, hkl 1 -2 3

# 5
Simulated powder X-ray diffraction pattern
Compound: In5Bi4Pb2
Radiation: copper Kα
Structure: a crystal structure in Alexandria, relaxed with PBE
Peak positions follow from Bragg's law for the DFT cell and can differ from measured ones.

Structure:
```
data_In5Bi4Pb2
_chemical_formula_sum 'In5 Bi4 Pb2'
_space_group_name_H-M_alt 'P 1 2/m 1'
_space_group_IT_number 10
_cell_length_a 8.680
_cell_length_b 3.427
_cell_length_c 11.328
_cell_angle_alpha 90.00
_cell_angle_beta 91.30
_cell_angle_gamma 90.00
loop_
_space_group_symop_operation_xyz
'x,y,z'
'-x,-y,-z'
'-x,y,-z'
'x,-y,z'
loop_
_atom_site_label
_atom_site_fract_x
_atom_site_fract_y
_atom_site_fract_z
_atom_site_occupancy
In1 0.000 0.000 0.000 1
In2 0.071 0.000 0.273 1
In3 0.294 0.000 0.828 1
Bi1 0.169 0.500 0.563 1
Bi2 0.349 0.500 0.087 1
Pb1 0.424 0.000 0.357 1
```

Main lines, low angle first (2θ from 10° to 80°):
2θ = 29.0°, rel. 20, hkl 1 1 -1
2θ = 29.2°, rel. 19, hkl 1 1 1
2θ = 30.5°, rel. 25, hkl 0 1 2
2θ = 31.8°, rel. 100, hkl 2 0 3
2θ = 32.1°, rel. 31, hkl 1 1 -2
2θ = 32.3°, rel. 30, hkl 1 1 2
2θ = 33.1°, rel. 48, hkl 1 0 -4
2θ = 41.8°, rel. 20, hkl 3 1 1

# 6
Simulated powder X-ray diffraction pattern
Compound: In5Bi3Pb4
Radiation: copper Kα
Structure: a crystal structure in Alexandria, relaxed with PBE
Peak positions follow from Bragg's law for the DFT cell and can differ from measured ones.

Structure:
```
data_In5Bi3Pb4
_chemical_formula_sum 'In5 Bi3 Pb4'
_space_group_name_H-M_alt 'P -1'
_space_group_IT_number 2
_cell_length_a 6.016
_cell_length_b 8.436
_cell_length_c 9.012
_cell_angle_alpha 109.10
_cell_angle_beta 101.86
_cell_angle_gamma 110.05
loop_
_space_group_symop_operation_xyz
'x,y,z'
'-x,-y,-z'
loop_
_atom_site_label
_atom_site_fract_x
_atom_site_fract_y
_atom_site_fract_z
_atom_site_occupancy
In1 0.000 0.000 0.000 1
In2 0.188 0.602 0.689 1
In3 0.371 0.014 0.641 1
Bi1 0.037 0.249 0.762 1
Bi2 0.500 0.000 0.000 1
Pb1 0.275 0.269 0.403 1
Pb2 0.322 0.517 0.166 1
```

Main lines, low angle first (2θ from 10° to 80°):
2θ = 30.1°, rel. 100, hkl -2 1 1
2θ = 30.5°, rel. 57, hkl 0 1 -3
2θ = 31.9°, rel. 26, hkl 1 1 1
2θ = 32.2°, rel. 81, hkl 1 2 -2
2θ = 35.6°, rel. 18, hkl -1 2 2
2θ = 37.0°, rel. 20, hkl -1 1 3
2θ = 40.2°, rel. 23, hkl 2 -2 2
2θ = 46.3°, rel. 20, hkl 2 0 -4